Structure and calculated X-ray diffraction stick pattern of Be2Fe5SiMo2 (a structure optimized by DFT (PBE); Cu Kα, 1.54184 Å).

Peak list (10 most intense, 5 to 70 degrees two-theta, in order of falling intensity)
- hkl 4 1 0, 2θ = 42.81°, d = 2.113 Å, I = 100
- hkl 3 1 1, 2θ = 45.90°, d = 1.977 Å, I = 97
- hkl 2 1 1, 2θ = 39.26°, d = 2.295 Å, I = 90
- hkl 3 3 0, 2θ = 44.11°, d = 2.053 Å, I = 39
- hkl 2 2 1, 2θ = 43.35°, d = 2.088 Å, I = 31
- hkl 2 1 0, 2θ = 22.83°, d = 3.895 Å, I = 30
- hkl 3 2 1, 2θ = 49.54°, d = 1.840 Å, I = 26
- hkl 2 0 1, 2θ = 37.82°, d = 2.379 Å, I = 24
- hkl 4 2 0, 2θ = 46.63°, d = 1.948 Å, I = 19
- hkl 0 0 2, 2θ = 65.78°, d = 1.420 Å, I = 18

```
Be2Fe5SiMo2
1.0
8.710 0.000 0.000
0.000 8.710 0.000
0.000 0.000 2.839
Be Fe Si Mo
4 10 2 4
direct
0.124 0.376 0.000 Be
0.376 0.876 0.000 Be
0.624 0.124 0.000 Be
0.876 0.624 0.000 Be
0.000 0.500 0.500 Fe
0.062 0.206 0.500 Fe
0.206 0.938 0.500 Fe
0.294 0.438 0.500 Fe
0.438 0.706 0.500 Fe
0.500 0.000 0.500 Fe
0.562 0.294 0.500 Fe
0.706 0.562 0.500 Fe
0.794 0.062 0.500 Fe
0.938 0.794 0.500 Fe
0.000 0.000 0.000 Si
0.500 0.500 0.000 Si
0.175 0.675 0.000 Mo
0.325 0.175 0.000 Mo
0.675 0.825 0.000 Mo
0.825 0.325 0.000 Mo
```

***

Structure and calculated X-ray diffraction stick pattern of TiN (a structure optimized by DFT (PBE); Cu Kα, 1.54184 Å).

Peak list (10 most intense, 5 to 70 degrees two-theta, in order of falling intensity)
- hkl 1 1 0, 2θ = 18.17°, d = 4.884 Å, I = 100
- hkl 1 2 1, 2θ = 36.23°, d = 2.480 Å, I = 98
- hkl 3 1 0, 2θ = 41.34°, d = 2.184 Å, I = 61
- hkl 0 0 2, 2θ = 43.52°, d = 2.079 Å, I = 37
- hkl 3 1 2, 2θ = 61.58°, d = 1.506 Å, I = 31
- hkl 2 0 0, 2θ = 25.80°, d = 3.453 Å, I = 29
- hkl 4 0 0, 2θ = 53.04°, d = 1.727 Å, I = 21
- hkl 3 3 0, 2θ = 56.53°, d = 1.628 Å, I = 19
- hkl 1 1 2, 2θ = 47.53°, d = 1.913 Å, I = 13
- hkl 2 4 0, 2θ = 59.89°, d = 1.544 Å, I = 9

```
TiN
1.0
6.906 0.000 0.000
0.000 6.906 0.000
0.000 0.000 4.159
Ti N
8 8
direct
0.134 0.663 0.000 Ti
0.163 0.366 0.500 Ti
0.337 0.134 0.000 Ti
0.366 0.837 0.500 Ti
0.634 0.163 0.500 Ti
0.663 0.866 0.000 Ti
0.837 0.634 0.500 Ti
0.866 0.337 0.000 Ti
0.122 0.677 0.500 N
0.177 0.378 0.000 N
0.323 0.122 0.500 N
0.378 0.823 0.000 N
0.622 0.177 0.000 N
0.677 0.878 0.500 N
0.823 0.622 0.000 N
0.878 0.323 0.500 N
```

***

Structure and calculated X-ray diffraction stick pattern of TiZnIrRu (a structure optimized by DFT (PBE); Cu Kα, 1.54184 Å).

Peak list (8 most intense, 5 to 70 degrees two-theta, in order of falling intensity)
- hkl 2 2 0, 2θ = 41.77°, d = 2.163 Å, I = 100
- hkl 2 0 0, 2θ = 29.20°, d = 3.059 Å, I = 23
- hkl 4 0 0, 2θ = 60.54°, d = 1.529 Å, I = 16
- hkl 1 1 1, 2θ = 25.22°, d = 3.532 Å, I = 11
- hkl 4 2 0, 2θ = 68.61°, d = 1.368 Å, I = 9
- hkl 2 2 2, 2θ = 51.77°, d = 1.766 Å, I = 7
- hkl 3 1 1, 2θ = 49.42°, d = 1.844 Å, I = 6
- hkl 3 3 1, 2θ = 66.64°, d = 1.403 Å, I = 3

```
TiZnIrRu
1.0
6.117 0.000 0.000
0.000 6.117 0.000
0.000 0.000 6.117
Ti Zn Ir Ru
4 4 4 4
direct
0.000 0.000 0.000 Ti
0.000 0.500 0.500 Ti
0.500 0.000 0.500 Ti
0.500 0.500 0.000 Ti
0.000 0.000 0.500 Zn
0.000 0.500 0.000 Zn
0.500 0.000 0.000 Zn
0.500 0.500 0.500 Zn
0.250 0.250 0.750 Ir
0.250 0.750 0.250 Ir
0.750 0.250 0.250 Ir
0.750 0.750 0.750 Ir
0.250 0.250 0.250 Ru
0.250 0.750 0.750 Ru
0.750 0.250 0.750 Ru
0.750 0.750 0.250 Ru
```